(1)
Ce6SnPb3: computed powder XRD pattern (a wavelength of 1.5418 Å), based on a crystal structure in Alexandria, relaxed with PBE.
Kinematic intensities with the Lorentz-polarization factor, no thermal factor.

Cell lengths 8.5235, 8.5235, 8.5235 Å; angles 79.85, 79.85, 79.85 degrees
Atoms (fractional coordinates):
Ce  0.0794  0.7447  0.7447
Ce  0.1471  0.5226  0.5226
Ce  0.2553  0.2553  0.9206
Ce  0.2553  0.9206  0.2553
Ce  0.4774  0.4774  0.8529
Ce  0.4774  0.8529  0.4774
Ce  0.5226  0.1471  0.5226
Ce  0.5226  0.5226  0.1471
Ce  0.7447  0.0794  0.7447
Ce  0.7447  0.7447  0.0794
Ce  0.8529  0.4774  0.4774
Ce  0.9206  0.2553  0.2553
Sn  0.0000  0.0000  0.0000
Sn  0.5000  0.5000  0.5000
Pb  0.1331  0.1331  0.5770
Pb  0.1331  0.5770  0.1331
Pb  0.4230  0.8669  0.8669
Pb  0.5770  0.1331  0.1331
Pb  0.8669  0.4230  0.8669
Pb  0.8669  0.8669  0.4230

Largest 10 diffraction maxima, in order of rising 2θ, 2θ = 10–90°:
d 3.305, rel. 23; d 3.181, rel. 36; d 3.158, rel. 38; d 2.780, rel. 43; d 2.765, rel. 99; d 2.750, rel. 100; d 2.735, rel. 61; d 2.479, rel. 24; d 1.823, rel. 23; d 1.466, rel. 22

***

(2)
Ce10Sn3Pb3: computed powder XRD pattern (a wavelength of 1.5418 Å), based on a crystal structure in Alexandria, relaxed with PBE.
Kinematic intensities with the Lorentz-polarization factor, no thermal factor.

Cell lengths 9.4152, 9.4152, 6.4148 Å; angles 90.00, 90.00, 120.00 degrees
Atoms (fractional coordinates):
Ce  0.0000  0.2521  0.0000
Ce  0.0000  0.7493  0.5000
Ce  0.2507  0.2507  0.5000
Ce  0.2521  0.0000  0.0000
Ce  0.3333  0.6667  0.2850
Ce  0.3333  0.6667  0.7150
Ce  0.6667  0.3333  0.2850
Ce  0.6667  0.3333  0.7150
Ce  0.7479  0.7479  0.0000
Ce  0.7493  0.0000  0.5000
Sn  0.0000  0.3823  0.5000
Sn  0.3823  0.0000  0.5000
Sn  0.6177  0.6177  0.5000
Pb  0.0000  0.6089  0.0000
Pb  0.3911  0.3911  0.0000
Pb  0.6089  0.0000  0.0000

Largest 10 diffraction maxima, in order of rising 2θ, 2θ = 10–90°:
d 3.207, rel. 23; d 3.082, rel. 26; d 2.778, rel. 100; d 2.718, rel. 61; d 2.651, rel. 77; d 2.133, rel. 20; d 1.898, rel. 18; d 1.796, rel. 14; d 1.757, rel. 27; d 1.454, rel. 17

***

(3)
Ce4SnPb: computed powder XRD pattern (a wavelength of 1.5418 Å), based on a crystal structure in Alexandria, relaxed with PBE.
Kinematic intensities with the Lorentz-polarization factor, no thermal factor.

Cell lengths 4.0137, 4.0137, 10.2372 Å; angles 94.27, 94.27, 90.39 degrees
Atoms (fractional coordinates):
Ce  0.0324  0.0324  0.1813
Ce  0.4664  0.4664  0.3256
Ce  0.5336  0.5336  0.6744
Ce  0.9676  0.9676  0.8187
Sn  0.0000  0.0000  0.5000
Pb  0.5000  0.5000  0.0000

Largest 10 diffraction maxima, in order of rising 2θ, 2θ = 10–90°:
d 2.848, rel. 59; d 2.813, rel. 51; d 2.690, rel. 100; d 2.497, rel. 73; d 2.001, rel. 38; d 1.646, rel. 21; d 1.612, rel. 22; d 1.568, rel. 18; d 1.458, rel. 14; d 1.345, rel. 12

***

(4)
Ce9Sn2Pb: computed powder XRD pattern (a wavelength of 1.5418 Å), based on a crystal structure in Alexandria, relaxed with PBE.
Kinematic intensities with the Lorentz-polarization factor, no thermal factor.

Cell lengths 4.7978, 4.7978, 14.3950 Å; angles 90.00, 90.00, 90.00 degrees
Atoms (fractional coordinates):
Ce  0.0000  0.0000  0.0000
Ce  0.0000  0.0000  0.3349
Ce  0.0000  0.0000  0.6651
Ce  0.0000  0.5000  0.1701
Ce  0.0000  0.5000  0.5000
Ce  0.0000  0.5000  0.8299
Ce  0.5000  0.0000  0.1701
Ce  0.5000  0.0000  0.5000
Ce  0.5000  0.0000  0.8299
Sn  0.5000  0.5000  0.3345
Sn  0.5000  0.5000  0.6655
Pb  0.5000  0.5000  0.0000

Largest 10 diffraction maxima, in order of rising 2θ, 2θ = 10–90°:
d 4.552, rel. 1; d 3.992, rel. 1; d 3.069, rel. 1; d 2.770, rel. 100; d 2.399, rel. 50; d 1.696, rel. 35; d 1.447, rel. 41; d 1.385, rel. 12; d 1.199, rel. 6; d 1.101, rel. 18

***

(5)
Ce3Tc2Pb: computed powder XRD pattern (a wavelength of 1.5418 Å), based on a crystal structure in Alexandria, relaxed with PBE.
Kinematic intensities with the Lorentz-polarization factor, no thermal factor.

Cell lengths 7.8960, 7.8960, 8.6500 Å; angles 108.03, 108.03, 35.70 degrees
Atoms (fractional coordinates):
Ce  0.0655  0.0655  0.2055
Ce  0.2399  0.2399  0.7173
Ce  0.3855  0.3855  0.1254
Ce  0.6145  0.6145  0.8746
Ce  0.7601  0.7601  0.2827
Ce  0.9345  0.9345  0.7945
Tc  0.0681  0.0681  0.6521
Tc  0.1549  0.1549  0.0203
Tc  0.8451  0.8451  0.9797
Tc  0.9319  0.9319  0.3479
Pb  0.3965  0.3965  0.5240
Pb  0.6035  0.6035  0.4760

Largest 10 diffraction maxima, in order of rising 2θ, 2θ = 10–90°:
d 3.830, rel. 17; d 3.554, rel. 16; d 3.258, rel. 13; d 2.969, rel. 15; d 2.902, rel. 100; d 2.459, rel. 23; d 2.421, rel. 87; d 2.415, rel. 32; d 2.369, rel. 14; d 2.353, rel. 15

***

(6)
Ce4Te3Pb: computed powder XRD pattern (a wavelength of 1.5418 Å), based on a crystal structure in Alexandria, relaxed with PBE.
Kinematic intensities with the Lorentz-polarization factor, no thermal factor.

Cell lengths 7.8029, 7.8029, 4.5500 Å; angles 90.00, 90.00, 109.85 degrees
Atoms (fractional coordinates):
Ce  0.2496  0.2496  0.5000
Ce  0.2501  0.7499  0.0000
Ce  0.7499  0.2501  0.0000
Ce  0.7504  0.7504  0.5000
Te  0.0000  0.0000  0.0000
Te  0.0000  0.5000  0.5000
Te  0.5000  0.0000  0.5000
Pb  0.5000  0.5000  0.0000

Largest 10 diffraction maxima, in order of rising 2θ, 2θ = 10–90°:
d 3.193, rel. 100; d 2.275, rel. 13; d 2.258, rel. 51; d 2.242, rel. 13; d 1.853, rel. 14; d 1.835, rel. 14; d 1.597, rel. 13; d 1.428, rel. 24; d 1.310, rel. 9; d 1.297, rel. 9

***

(7)
Ce4ThPb2: computed powder XRD pattern (a wavelength of 1.5418 Å), based on a crystal structure in Alexandria, relaxed with PBE.
Kinematic intensities with the Lorentz-polarization factor, no thermal factor.

Cell lengths 7.9441, 6.5967, 6.2846 Å; angles 76.11, 53.72, 50.17 degrees
Atoms (fractional coordinates):
Ce  0.0000  0.0000  0.5000
Ce  0.2500  0.2500  0.2500
Ce  0.5000  0.5000  0.0000
Ce  0.7500  0.7500  0.7500
Th  0.0000  0.0000  0.0000
Pb  0.3575  0.3575  0.6425
Pb  0.6425  0.6425  0.3575

Largest 10 diffraction maxima, in order of rising 2θ, 2θ = 10–90°:
d 3.153, rel. 72; d 2.728, rel. 100; d 2.718, rel. 49; d 2.556, rel. 29; d 2.437, rel. 36; d 2.133, rel. 25; d 1.821, rel. 20; d 1.678, rel. 17; d 1.571, rel. 19; d 1.279, rel. 22

***

(8)
Ce5Tl4Pb: computed powder XRD pattern (a wavelength of 1.5418 Å), based on a crystal structure in Alexandria, relaxed with PBE.
Kinematic intensities with the Lorentz-polarization factor, no thermal factor.

Cell lengths 4.1775, 4.1775, 16.8114 Å; angles 90.00, 90.00, 90.00 degrees
Atoms (fractional coordinates):
Ce  0.0000  0.0000  0.0000
Ce  0.0000  0.0000  0.1999
Ce  0.0000  0.0000  0.4015
Ce  0.0000  0.0000  0.5985
Ce  0.0000  0.0000  0.8001
Tl  0.5000  0.5000  0.0996
Tl  0.5000  0.5000  0.2993
Tl  0.5000  0.5000  0.7007
Tl  0.5000  0.5000  0.9004
Pb  0.5000  0.5000  0.5000

Largest 10 diffraction maxima, in order of rising 2θ, 2θ = 10–90°:
d 2.954, rel. 69; d 2.619, rel. 100; d 2.089, rel. 26; d 1.633, rel. 49; d 1.477, rel. 9; d 1.461, rel. 17; d 1.321, rel. 12; d 1.310, rel. 12; d 1.287, rel. 11; d 1.095, rel. 14